Starting from a crystal structure in the Materials Project, relaxed with GGA-PBE, the powder diffractogram of Tm5Ir3 was computed for Cu Kα, 1.54184 Å.

```
data_Tm5Ir3
_chemical_formula_sum 'Tm10 Ir6'
_space_group_name_H-M_alt 'P 63/m c m'
_space_group_IT_number 193
_space_group_name_Hall '-P 6c 2'
_cell_length_a 8.2584
_cell_length_b 8.2584
_cell_length_c 6.0893
_cell_angle_alpha 90.00
_cell_angle_beta 90.00
_cell_angle_gamma 120.00
loop_
_atom_site_label
_atom_site_fract_x
_atom_site_fract_y
_atom_site_fract_z
_atom_site_occupancy
Tm1 0.0000 0.2649 0.2500 1
Tm2 0.3333 0.6667 0.0000 1
Ir1 0.0000 0.3873 0.7500 1
```

Main lines, sorted by position (2θ from 10° to 90°):
index  two_theta  d [Å]  I (rel.)
1 0 0  12.38  7.152  17.9
0 0 2  29.33  3.045  25.9
2 1 0  33.14  2.703  21.1
2 1 1  36.36  2.471  89.2
1 1 2  36.67  2.451  100.0
3 0 0  37.73  2.384  71.9
3 1 1  48.25  1.886  23.4
2 2 2  53.64  1.709  21.7
2 1 3  56.71  1.623  25.1
3 0 4  73.86  1.283  20.5